Record 1
PtPb2: theoretical powder X-ray diffraction pattern (Cu Kα, 1.54184 Å), based on a crystal structure in the Materials Project, relaxed with PBE.
Intensities are scaled so that the largest is 100.

Structural model:
a b c (Å): 5.807 5.807 5.807
angles (deg): 104.59 104.59 119.75
Element x y z (fractional)
Pt (0.250, 0.250, 0.000)
Pt (0.750, 0.750, 0.000)
Pb (0.161, 0.661, 0.822)
Pb (0.339, 0.161, 0.500)
Pb (0.661, 0.839, 0.500)
Pb (0.839, 0.339, 0.178)

Main lines, by angle (10° ≤ 2θ ≤ 90°):
2θ = 32.09°, rel. 100
2θ = 35.62°, rel. 37
2θ = 35.76°, rel. 14
2θ = 40.02°, rel. 39
2θ = 40.15°, rel. 47
2θ = 55.44°, rel. 22
2θ = 55.63°, rel. 17
2θ = 61.11°, rel. 17
2θ = 64.15°, rel. 26
2θ = 73.64°, rel. 12
2θ = 75.70°, rel. 9
2θ = 78.19°, rel. 14



Record 2
Sm3Ni3Bi4: theoretical powder X-ray diffraction pattern (Cu Kα, 1.54184 Å), based on a crystal structure in the Materials Project, relaxed with PBE.
Intensities are scaled so that the largest is 100.

Structural model:
a b c (Å): 8.494 8.494 8.494
angles (deg): 109.47 109.47 109.47
Element x y z (fractional)
Sm (0.125, 0.875, 0.250)
Sm (0.250, 0.125, 0.875)
Sm (0.375, 0.625, 0.750)
Sm (0.625, 0.750, 0.375)
Sm (0.750, 0.375, 0.625)
Sm (0.875, 0.250, 0.125)
Ni (0.125, 0.750, 0.875)
Ni (0.250, 0.625, 0.375)
Ni (0.375, 0.250, 0.625)
Ni (0.625, 0.375, 0.250)
Ni (0.750, 0.875, 0.125)
Ni (0.875, 0.125, 0.750)
Bi (0.000, 0.152, 0.500)
Bi (0.000, 0.652, 0.500)
Bi (0.152, 0.500, 0.000)
Bi (0.348, 0.348, 0.348)
Bi (0.500, 0.000, 0.152)
Bi (0.500, 0.000, 0.652)
Bi (0.652, 0.500, 0.000)
Bi (0.848, 0.848, 0.848)

Main lines, by angle (10° ≤ 2θ ≤ 90°):
2θ = 28.79°, rel. 72
2θ = 34.21°, rel. 100
2θ = 41.16°, rel. 20
2θ = 43.27°, rel. 9
2θ = 45.30°, rel. 24
2θ = 47.26°, rel. 25
2θ = 57.97°, rel. 20
2θ = 59.62°, rel. 17
2θ = 61.25°, rel. 14
2θ = 65.99°, rel. 8
2θ = 70.57°, rel. 15
2θ = 85.09°, rel. 10



Record 3
LiCuS: theoretical powder X-ray diffraction pattern (Cu Kα, 1.54184 Å), based on a crystal structure in the Materials Project, relaxed with PBE.
Intensities are scaled so that the largest is 100.

Structural model:
a b c (Å): 3.937 4.239 5.712
angles (deg): 90.00 90.00 90.00
Element x y z (fractional)
Li (0.000, 0.198, 0.000)
Li (0.500, 0.802, 0.500)
Cu (0.000, 0.365, 0.466)
Cu (0.500, 0.635, 0.966)
S (0.000, 0.714, 0.773)
S (0.500, 0.286, 0.273)

Main lines, by angle (10° ≤ 2θ ≤ 90°):
2θ = 20.96°, rel. 52
2θ = 26.18°, rel. 100
2θ = 27.51°, rel. 72
2θ = 31.32°, rel. 19
2θ = 34.84°, rel. 43
2θ = 44.65°, rel. 69
2θ = 45.66°, rel. 29
2θ = 46.11°, rel. 26
2θ = 53.45°, rel. 26
2θ = 53.80°, rel. 25
2θ = 59.14°, rel. 24
2θ = 66.91°, rel. 17



Record 4
YNi3Sn2: theoretical powder X-ray diffraction pattern (Cu Kα, 1.54184 Å), based on a crystal structure in the Materials Project, relaxed with PBE.
Intensities are scaled so that the largest is 100.

Structural model:
a b c (Å): 9.298 9.298 4.218
angles (deg): 90.00 90.00 120.00
Element x y z (fractional)
Y (0.000, 0.000, 0.000)
Y (0.333, 0.667, 0.500)
Y (0.667, 0.333, 0.500)
Ni (0.000, 0.704, 0.500)
Ni (0.168, 0.374, 0.000)
Ni (0.207, 0.832, 0.000)
Ni (0.296, 0.296, 0.500)
Ni (0.374, 0.168, 0.000)
Ni (0.626, 0.793, 0.000)
Ni (0.704, 0.000, 0.500)
Ni (0.793, 0.626, 0.000)
Ni (0.832, 0.207, 0.000)
Sn (0.000, 0.253, 0.500)
Sn (0.000, 0.529, 0.000)
Sn (0.253, 0.000, 0.500)
Sn (0.471, 0.471, 0.000)
Sn (0.529, 0.000, 0.000)
Sn (0.747, 0.747, 0.500)

Main lines, by angle (10° ≤ 2θ ≤ 90°):
2θ = 29.35°, rel. 31
2θ = 30.70°, rel. 100
2θ = 36.40°, rel. 71
2θ = 38.74°, rel. 48
2θ = 39.81°, rel. 69
2θ = 42.89°, rel. 64
2θ = 44.50°, rel. 73
2θ = 45.03°, rel. 28
2θ = 45.98°, rel. 25
2θ = 59.15°, rel. 27
2θ = 63.94°, rel. 24
2θ = 65.17°, rel. 22



Record 5
NbBiO4: theoretical powder X-ray diffraction pattern (Cu Kα, 1.54184 Å), based on a crystal structure in the Materials Project, relaxed with PBE.
Intensities are scaled so that the largest is 100.

Structural model:
a b c (Å): 5.830 11.793 5.108
angles (deg): 90.00 90.00 90.00
Element x y z (fractional)
Nb (0.154, 0.250, 0.250)
Nb (0.346, 0.750, 0.250)
Nb (0.654, 0.250, 0.750)
Nb (0.846, 0.750, 0.750)
Bi (0.250, 0.000, 0.716)
Bi (0.250, 0.500, 0.784)
Bi (0.750, 0.000, 0.284)
Bi (0.750, 0.500, 0.216)
O (0.079, 0.099, 0.413)
O (0.079, 0.401, 0.087)
O (0.144, 0.693, 0.503)
O (0.144, 0.807, 0.997)
O (0.356, 0.193, 0.997)
O (0.356, 0.307, 0.503)
O (0.421, 0.599, 0.087)
O (0.421, 0.901, 0.413)
O (0.579, 0.099, 0.587)
O (0.579, 0.401, 0.913)
O (0.644, 0.693, 0.497)
O (0.644, 0.807, 0.003)
O (0.856, 0.193, 0.003)
O (0.856, 0.307, 0.497)
O (0.921, 0.599, 0.913)
O (0.921, 0.901, 0.587)

Main lines, by angle (10° ≤ 2θ ≤ 90°):
2θ = 15.02°, rel. 11
2θ = 23.15°, rel. 13
2θ = 27.71°, rel. 100
2θ = 30.32°, rel. 20
2θ = 30.67°, rel. 13
2θ = 34.32°, rel. 10
2θ = 35.14°, rel. 10
2θ = 38.47°, rel. 14
2θ = 43.67°, rel. 13
2θ = 47.07°, rel. 13
2θ = 52.28°, rel. 19
2θ = 58.61°, rel. 10



Record 6
Sr2Ti2O5: theoretical powder X-ray diffraction pattern (Cu Kα, 1.54184 Å), based on a crystal structure in the Materials Project, relaxed with PBE.
Intensities are scaled so that the largest is 100.

Structural model:
a b c (Å): 8.875 8.875 8.875
angles (deg): 53.64 142.69 142.88
Element x y z (fractional)
Sr (0.012, 0.113, 0.124)
Sr (0.012, 0.387, 0.399)
Sr (0.988, 0.613, 0.601)
Sr (0.988, 0.887, 0.876)
Ti (0.487, 0.776, 0.211)
Ti (0.499, 0.499, 0.000)
Ti (0.499, 0.999, 0.500)
Ti (0.566, 0.276, 0.789)
O (0.001, 0.257, 0.755)
O (0.001, 0.746, 0.244)
O (0.015, 0.587, 0.927)
O (0.472, 0.132, 0.602)
O (0.472, 0.370, 0.840)
O (0.501, 0.246, 0.245)
O (0.501, 0.757, 0.756)
O (0.530, 0.632, 0.160)
O (0.530, 0.870, 0.398)
O (0.660, 0.087, 0.073)

Main lines, by angle (10° ≤ 2θ ≤ 90°):
2θ = 11.17°, rel. 11
2θ = 31.52°, rel. 32
2θ = 31.68°, rel. 34
2θ = 31.78°, rel. 100
2θ = 39.04°, rel. 13
2θ = 39.17°, rel. 12
2θ = 45.29°, rel. 38
2θ = 45.83°, rel. 17
2θ = 56.29°, rel. 19
2θ = 56.49°, rel. 20
2θ = 66.40°, rel. 18
2θ = 75.11°, rel. 12



Record 7
Cs4Ti3S14: theoretical powder X-ray diffraction pattern (Cu Kα, 1.54184 Å), based on a crystal structure in the Materials Project, relaxed with PBE.
Intensities are scaled so that the largest is 100.

Structural model:
a b c (Å): 11.702 11.702 14.206
angles (deg): 112.99 112.99 43.32
Element x y z (fractional)
Cs (0.118, 0.474, 0.386)
Cs (0.174, 0.701, 0.853)
Cs (0.299, 0.826, 0.647)
Cs (0.474, 0.118, 0.886)
Cs (0.526, 0.882, 0.114)
Cs (0.701, 0.174, 0.353)
Cs (0.826, 0.299, 0.147)
Cs (0.882, 0.526, 0.614)
Ti (0.089, 0.577, 0.082)
Ti (0.264, 0.736, 0.250)
Ti (0.423, 0.911, 0.418)
Ti (0.577, 0.089, 0.582)
Ti (0.736, 0.264, 0.750)
Ti (0.911, 0.423, 0.918)
S (0.032, 0.830, 0.087)
S (0.062, 0.494, 0.906)
S (0.073, 0.736, 0.280)
S (0.119, 0.172, 0.399)
S (0.170, 0.968, 0.413)
S (0.172, 0.119, 0.899)
S (0.264, 0.927, 0.220)
S (0.301, 0.620, 0.382)
S (0.323, 0.334, 0.656)
S (0.334, 0.323, 0.156)
S (0.380, 0.699, 0.118)
S (0.386, 0.444, 0.131)
S (0.444, 0.386, 0.631)
S (0.494, 0.062, 0.406)
S (0.506, 0.938, 0.594)
S (0.556, 0.614, 0.369)
S (0.614, 0.556, 0.869)
S (0.620, 0.301, 0.882)
S (0.666, 0.677, 0.844)
S (0.677, 0.666, 0.344)
S (0.699, 0.380, 0.618)
S (0.736, 0.073, 0.780)
S (0.828, 0.881, 0.101)
S (0.830, 0.032, 0.587)
S (0.881, 0.828, 0.601)
S (0.927, 0.264, 0.720)
S (0.938, 0.506, 0.094)
S (0.968, 0.170, 0.913)

Main lines, by angle (10° ≤ 2θ ≤ 90°):
2θ = 20.33°, rel. 65
2θ = 20.56°, rel. 56
2θ = 21.94°, rel. 100
2θ = 23.03°, rel. 34
2θ = 24.68°, rel. 64
2θ = 27.68°, rel. 69
2θ = 28.39°, rel. 84
2θ = 32.33°, rel. 35
2θ = 33.61°, rel. 30
2θ = 36.84°, rel. 27
2θ = 39.29°, rel. 24
2θ = 55.63°, rel. 24



Record 8
NiS2: theoretical powder X-ray diffraction pattern (Cu Kα, 1.54184 Å), based on a crystal structure in the Materials Project, relaxed with PBE.
Intensities are scaled so that the largest is 100.

Structural model:
a b c (Å): 5.606 5.606 5.606
angles (deg): 90.00 90.00 90.00
Element x y z (fractional)
Ni (0.000, 0.000, 0.000)
Ni (0.000, 0.500, 0.500)
Ni (0.500, 0.000, 0.500)
Ni (0.500, 0.500, 0.000)
S (0.106, 0.606, 0.894)
S (0.106, 0.894, 0.394)
S (0.394, 0.106, 0.894)
S (0.394, 0.394, 0.394)
S (0.606, 0.606, 0.606)
S (0.606, 0.894, 0.106)
S (0.894, 0.106, 0.606)
S (0.894, 0.394, 0.106)

Main lines, by angle (10° ≤ 2θ ≤ 90°):
2θ = 27.56°, rel. 32
2θ = 31.93°, rel. 100
2θ = 35.82°, rel. 35
2θ = 39.37°, rel. 32
2θ = 45.78°, rel. 51
2θ = 54.27°, rel. 84
2θ = 56.89°, rel. 16
2θ = 59.45°, rel. 15
2θ = 61.93°, rel. 18
2θ = 73.65°, rel. 15
2θ = 75.90°, rel. 11
2θ = 84.70°, rel. 12



Which formula does entry 7 have? Cs4Ti3S14